# 1
For Y2CoOs, a cell relaxed with GGA-PBE gives the simulated X-ray diffraction stick pattern in this record (a wavelength of 1.5418 Å).
Kinematic intensities with the Lorentz-polarization factor, no thermal factor.

Peak list (10 most intense, 10° ≤ 2θ ≤ 90°, low angle first)
2theta	d_spacing	I/Imax
12.88	6.871	100.0
25.63	3.476	14.4
26.72	3.336	13.9
30.72	2.910	46.9
33.44	2.680	60.3
39.88	2.260	25.7
44.50	2.036	48.5
46.52	1.952	24.6
60.88	1.522	18.8
71.91	1.313	21.0

Structural model:
Cell lengths 4.0719, 4.0719, 20.6141 Å; angles 90.00, 90.00, 120.00 degrees
Space group R3m (No. 160, hexagonal axes)
Symmetry-distinct sites (fractional):
Y (0.0000, 0.0000, 0.0000) [3 per cell]
Y (0.0000, 0.0000, 0.1775) [3 per cell]
Co (0.0000, 0.0000, 0.7570) [3 per cell]
Os (0.0000, 0.0000, 0.4208) [3 per cell]



# 2
For Pu11Ga9Fe4, a cell relaxed with GGA-PBE gives the simulated X-ray diffraction stick pattern in this record (a wavelength of 1.5418 Å).
Kinematic intensities with the Lorentz-polarization factor, no thermal factor.

Peak list (10 most intense, 10° ≤ 2θ ≤ 90°, low angle first)
2theta	d_spacing	I/Imax
24.64	3.613	52.7
26.00	3.427	36.3
27.36	3.260	34.1
33.28	2.692	27.9
34.85	2.575	35.2
36.13	2.486	97.1
37.14	2.421	100.0
38.11	2.361	66.6
50.52	1.807	34.3
61.51	1.508	27.4

Structural model:
Cell lengths 13.0408, 20.5605, 3.6133 Å; angles 90.00, 90.00, 90.00 degrees
Space group Cmmm (No. 65)
Symmetry-distinct sites (fractional):
Pu (0.0000, 0.0000, 0.0000) [2 per cell]
Pu (0.0000, 0.1577, 0.0000) [4 per cell]
Pu (0.0000, 0.3752, 0.0000) [4 per cell]
Pu (0.1927, 0.5000, 0.0000) [4 per cell]
Pu (0.2374, 0.1756, 0.0000) [8 per cell]
Ga (0.0000, 0.5000, 0.5000) [2 per cell]
Ga (0.1011, 0.2649, 0.5000) [8 per cell]
Ga (0.1518, 0.0726, 0.5000) [8 per cell]
Fe (0.1483, 0.3877, 0.5000) [8 per cell]



# 3
For AcTl6Cd6, a cell relaxed with GGA-PBE gives the simulated X-ray diffraction stick pattern in this record (a wavelength of 1.5418 Å).
Kinematic intensities with the Lorentz-polarization factor, no thermal factor.

Peak list (10 most intense, 10° ≤ 2θ ≤ 90°, low angle first)
2theta	d_spacing	I/Imax
27.70	3.221	34.1
29.62	3.016	75.7
29.81	2.997	40.5
31.23	2.864	44.1
32.64	2.743	66.9
33.58	2.669	100.0
33.75	2.655	56.4
35.76	2.511	58.2
38.00	2.368	56.5
57.08	1.613	39.4

Structural model:
Cell lengths 5.9936, 10.4702, 11.4579 Å; angles 90.00, 90.00, 90.00 degrees
Space group Immm (No. 71)
Symmetry-distinct sites (fractional):
Ac (0.0000, 0.0000, 0.0000) [2 per cell]
Tl (0.0000, 0.0000, 0.3547) [4 per cell]
Tl (0.0000, 0.3125, 0.5000) [4 per cell]
Tl (0.0000, 0.3493, 0.0000) [4 per cell]
Cd (0.0000, 0.5000, 0.2772) [4 per cell]
Cd (0.2500, 0.2500, 0.2500) [8 per cell]



# 4
For Pd3Pb8Au2, a cell relaxed with GGA-PBE gives the simulated X-ray diffraction stick pattern in this record (a wavelength of 1.5418 Å).
Kinematic intensities with the Lorentz-polarization factor, no thermal factor.

Peak list (10 most intense, 10° ≤ 2θ ≤ 90°, low angle first)
2theta	d_spacing	I/Imax
22.05	4.031	16.2
25.64	3.474	18.1
36.30	2.475	100.0
36.51	2.461	24.9
36.64	2.452	24.6
52.69	1.737	17.7
65.13	1.432	18.0
65.57	1.424	18.3
65.76	1.420	18.1
88.97	1.100	13.0

Structural model:
Cell lengths 9.8093, 14.1036, 4.9226 Å; angles 90.00, 90.00, 90.00 degrees
Space group Cmmm (No. 65)
Symmetry-distinct sites (fractional):
Pd (0.0000, 0.0000, 0.0000) [2 per cell]
Pd (0.2495, 0.5000, 0.5000) [4 per cell]
Pb (0.0000, 0.1224, 0.5000) [4 per cell]
Pb (0.0000, 0.3815, 0.5000) [4 per cell]
Pb (0.2490, 0.3800, 0.0000) [8 per cell]
Au (0.0000, 0.2522, 0.0000) [4 per cell]